This entry pairs a crystal structure of HfBi2 with its computed XRD peak list. Radiation: λ = 1.5418 Å (Cu Kα). Structure: a crystal structure in OQMD, relaxed with PBE.

Structural model:
Lattice parameters (Å, degrees): 10.218 15.704 3.996 90.00 90.00 90.00
Space group Pnnm (No. 58)
One atom of each set of equivalent atoms:
Hf 0.022 0.246 0.000 x4
Hf 0.161 0.506 0.000 x4
Bi 0.014 0.393 0.500 x4
Bi 0.124 0.057 0.000 x4
Bi 0.155 0.851 0.500 x4
Bi 0.235 0.200 0.500 x4

Top 10 peaks for 10° ≤ 2θ ≤ 90°, in order of falling intensity:
d [Å]	2θ (°)	intensity	(hkl)
2.700	33.2	100.0	1 4 1
2.461	36.5	76.5	3 2 1
3.086	28.9	45.5	2 1 1
1.998	45.4	42.0	0 0 2
2.922	30.6	37.8	2 2 1
2.469	36.4	36.3	0 5 1
2.855	31.3	26.3	3 3 0
2.535	35.4	24.4	1 6 0
2.429	37.0	22.6	4 2 0
2.558	35.1	22.3	3 1 1